Starting from DFT lattice parameters and positions (GGA-PBE), the XRD peak list of LaAs2Rh2 was computed for CuKα.
Lines closer than 0.1° are merged.

Principal peaks in the range 2θ from 10° to 90°, most intense first:
| d [Å] | Position (°2θ) | I/Imax |
| --- | --- | --- |
| 2.618 | 34.25 | 100 |
| 2.166 | 41.70 | 69 |
| 2.657 | 33.74 | 66 |
| 1.679 | 54.68 | 33 |
| 1.829 | 49.85 | 23 |
| 1.322 | 71.35 | 23 |
| 1.531 | 60.45 | 23 |
| 1.947 | 46.65 | 20 |
| 1.397 | 66.96 | 19 |
| 1.474 | 63.06 | 15 |

Crystal structure
```
LaAs2Rh2
1.0
4.3315 0.0000 0.0000
0.0000 4.3315 0.0000
0.0000 0.0000 10.0901
La As Rh
2 4 4
Direct
0.2500 0.2500 0.2460
0.7500 0.7500 0.7540
0.2500 0.2500 0.6365
0.2500 0.7500 0.0000
0.7500 0.2500 0.0000
0.7500 0.7500 0.3635
0.2500 0.2500 0.8798
0.2500 0.7500 0.5000
0.7500 0.2500 0.5000
0.7500 0.7500 0.1202
```


Starting from DFT lattice parameters and positions (GGA-PBE), the XRD peak list of LaZn3As3 was computed for CuKα.
Lines closer than 0.1° are merged.

Principal peaks in the range 2θ from 10° to 90°, most intense first:
| d [Å] | Position (°2θ) | I/Imax |
| --- | --- | --- |
| 2.816 | 31.77 | 100 |
| 2.327 | 38.69 | 96 |
| 2.312 | 38.96 | 95 |
| 3.256 | 27.40 | 81 |
| 2.074 | 43.63 | 75 |
| 3.064 | 29.14 | 55 |
| 2.753 | 32.52 | 39 |
| 2.523 | 35.58 | 35 |
| 2.976 | 30.03 | 34 |
| 3.327 | 26.80 | 27 |

Crystal structure
```
LaZn3As3
1.0
12.7135 0.0000 0.0000
0.0000 4.1486 0.0000
0.0000 0.0000 11.5350
La Zn As
4 12 12
Direct
0.1652 0.2500 0.0540
0.3348 0.7500 0.5540
0.6652 0.2500 0.4460
0.8348 0.7500 0.9460
0.0458 0.2500 0.7651
0.0655 0.7500 0.4623
0.2277 0.2500 0.3443
0.2723 0.7500 0.8443
0.4345 0.2500 0.9623
0.4542 0.7500 0.2651
0.5458 0.2500 0.7349
0.5655 0.7500 0.0377
0.7277 0.2500 0.1557
0.7723 0.7500 0.6557
0.9345 0.2500 0.5377
0.9542 0.7500 0.2349
0.0791 0.7500 0.8839
0.1400 0.2500 0.5669
0.1520 0.7500 0.2595
0.3480 0.2500 0.7595
0.3600 0.7500 0.0669
0.4209 0.2500 0.3839
0.5791 0.7500 0.6161
0.6400 0.2500 0.9331
0.6520 0.7500 0.2405
0.8480 0.2500 0.7405
0.8600 0.7500 0.4331
0.9209 0.2500 0.1161
```


Starting from DFT lattice parameters and positions (GGA-PBE), the XRD peak list of La2ZnAs4 was computed for CuKα.
Lines closer than 0.1° are merged.

Principal peaks in the range 2θ from 10° to 90°, most intense first:
| d [Å] | Position (°2θ) | I/Imax |
| --- | --- | --- |
| 2.500 | 35.92 | 100 |
| 2.898 | 30.86 | 59 |
| 2.014 | 45.00 | 38 |
| 2.009 | 45.13 | 25 |
| 3.956 | 22.48 | 25 |
| 1.654 | 55.56 | 22 |
| 1.238 | 77.06 | 21 |
| 1.422 | 65.64 | 16 |
| 2.607 | 34.40 | 13 |
| 1.424 | 65.53 | 12 |

Crystal structure
```
La2ZnAs4
1.0
-2.0144 2.0144 10.4285
2.0144 -2.0144 10.4285
2.0144 2.0144 -10.4285
La Zn As
2 1 4
Direct
0.1208 0.1208 0.0000
0.8792 0.8792 0.0000
0.2500 0.7500 0.5000
0.0005 0.5005 0.5000
0.3240 0.3240 0.0000
0.4995 0.9995 0.5000
0.6760 0.6760 0.0000
```


Starting from DFT lattice parameters and positions (GGA-PBE), the XRD peak list of Li3As was computed for CuKα.
Lines closer than 0.1° are merged.

Principal peaks in the range 2θ from 10° to 90°, most intense first:
| d [Å] | Position (°2θ) | I/Imax |
| --- | --- | --- |
| 3.381 | 26.36 | 100 |
| 3.781 | 23.53 | 57 |
| 2.097 | 43.13 | 39 |
| 1.890 | 48.14 | 34 |
| 2.182 | 41.38 | 32 |
| 1.404 | 66.61 | 21 |
| 2.673 | 33.52 | 17 |
| 1.833 | 49.74 | 17 |
| 1.429 | 65.30 | 13 |
| 1.512 | 61.31 | 13 |

Crystal structure
```
Li3As
1.0
7.5581 0.0000 0.0000
-3.7790 6.5455 0.0000
0.0000 0.0000 7.5646
Li As
18 6
Direct
0.0000 0.0000 0.0000
0.0000 0.0000 0.5000
0.0232 0.3549 0.4112
0.0232 0.6683 0.9112
0.3317 0.3549 0.9112
0.3317 0.9768 0.4112
0.3333 0.6667 0.2132
0.3333 0.6667 0.7132
0.3549 0.0232 0.0888
0.3549 0.3317 0.5888
0.6451 0.6683 0.4112
0.6451 0.9768 0.9112
0.6667 0.3333 0.2868
0.6667 0.3333 0.7868
0.6683 0.0232 0.5888
0.6683 0.6451 0.0888
0.9768 0.3317 0.0888
0.9768 0.6451 0.5888
0.0000 0.3219 0.7500
0.0000 0.6781 0.2500
0.3219 0.0000 0.7500
0.3219 0.3219 0.2500
0.6781 0.0000 0.2500
0.6781 0.6781 0.7500
```